No. 1
Structure and computed XRD peak list of TbGd2Ge4Au4 (the GGA-PBE geometry in OQMD; Cu Kα X-rays).
Lines closer than 0.1° are merged.

Peak list (10 most intense, 10 to 90 degrees two-theta, by angle)
hkl  two_theta  d [Å]  I (rel.)
1 0 3  27.34  3.262  22
1 2 1  33.09  2.708  100
1 1 4  34.34  2.612  59
0 0 6  36.86  2.438  36
1 2 3  37.48  2.399  42
2 0 0  41.17  2.193  40
0 3 3  42.53  2.126  34
0 2 6  45.16  2.008  24
2 0 6  56.42  1.631  17
1 0 9  60.70  1.526  37

Cell and atoms:
```
data_TbGd2Ge4Au4
_chemical_formula_sum 'Tb2 Gd4 Ge8 Au8'
_space_group_name_H-M_alt 'I m m m'
_space_group_IT_number 71
_space_group_name_Hall '-I 2 2'
_cell_length_a 4.3852
_cell_length_b 7.0843
_cell_length_c 14.6385
_cell_angle_alpha 90.00
_cell_angle_beta 90.00
_cell_angle_gamma 90.00
loop_
_atom_site_label
_atom_site_type_symbol
_atom_site_fract_x
_atom_site_fract_y
_atom_site_fract_z
Tb1 Tb 0.0000 0.0000 0.0000
Gd1 Gd 0.0000 0.5000 0.1267
Ge1 Ge 0.0000 0.0000 0.2161
Ge2 Ge 0.0000 0.1847 0.5000
Au1 Au 0.0000 0.2986 0.3328
```


No. 2
Structure and computed XRD peak list of GdGeTe3Au (the GGA-PBE geometry in OQMD; Cu Kα X-rays).
Lines closer than 0.1° are merged.

Peak list (10 most intense, 10 to 90 degrees two-theta, by angle)
hkl  two_theta  d [Å]  I (rel.)
0 2 0  11.74  7.537  53
0 2 1  14.10  6.281  12
1 3 1  28.91  3.088  29
0 0 4  31.50  2.840  27
1 3 2  32.03  2.794  100
0 2 4  33.72  2.658  14
1 5 2  40.18  2.244  16
2 0 0  43.40  2.085  20
1 5 3  44.11  2.053  27
2 0 4  54.61  1.681  12

Cell and atoms:
```
data_GdGeTe3Au
_chemical_formula_sum 'Gd4 Ge4 Te12 Au4'
_space_group_name_H-M_alt 'C m c m'
_space_group_IT_number 63
_space_group_name_Hall '-C 2c 2'
_cell_length_a 4.1696
_cell_length_b 15.0748
_cell_length_c 11.3614
_cell_angle_alpha 90.00
_cell_angle_beta 90.00
_cell_angle_gamma 90.00
loop_
_atom_site_label
_atom_site_type_symbol
_atom_site_fract_x
_atom_site_fract_y
_atom_site_fract_z
Gd1 Gd 0.0000 0.0000 0.0000
Ge1 Ge 0.0000 0.1742 0.2500
Te1 Te 0.0000 0.0904 0.7500
Te2 Te 0.0000 0.3508 0.5546
Au1 Au 0.0000 0.4661 0.7500
```


No. 3
Structure and computed XRD peak list of GdHfAu6 (the GGA-PBE geometry in OQMD; Cu Kα X-rays).
Lines closer than 0.1° are merged.

Peak list (10 most intense, 10 to 90 degrees two-theta, by angle)
hkl  two_theta  d [Å]  I (rel.)
0 2 1  34.02  2.635  28
2 0 0  36.31  2.474  42
1 2 1  38.71  2.326  100
1 0 2  40.05  2.251  52
2 2 1  50.60  1.804  18
0 2 3  62.81  1.479  17
3 2 1  66.92  1.398  20
3 0 2  67.84  1.381  11
1 4 2  74.52  1.273  16
2 2 3  74.77  1.270  20

Cell and atoms:
```
data_GdHfAu6
_chemical_formula_sum 'Gd1 Hf1 Au6'
_space_group_name_H-M_alt 'P m m 2'
_space_group_IT_number 25
_space_group_name_Hall 'P 2 -2'
_cell_length_a 4.9486
_cell_length_b 6.1763
_cell_length_c 5.0560
_cell_angle_alpha 90.00
_cell_angle_beta 90.00
_cell_angle_gamma 90.00
loop_
_atom_site_label
_atom_site_type_symbol
_atom_site_fract_x
_atom_site_fract_y
_atom_site_fract_z
Gd1 Gd 0.0000 0.0000 0.0000
Hf1 Hf 0.5000 0.5000 0.6854
Au1 Au 0.0000 0.2665 0.5022
Au2 Au 0.0000 0.5000 0.9931
Au3 Au 0.5000 0.0000 0.6662
Au4 Au 0.5000 0.2588 0.1783
```